No. 1
This entry pairs a crystal structure of Ba6MgSc2C2O6F14 with its theoretical X-ray powder pattern. Radiation: Cu Kα, 1.54184 Å. Structure: DFT lattice parameters and positions (PBE).
Lines closer than 0.1° are merged.

Crystal structure
Unit cell a=9.102 b=6.292 c=9.125 alpha=90.00 beta=98.36 gamma=90.00
Space group Pm (No. 6)
Symmetry-distinct sites (fractional):
Ba1 0.000 0.000 0.000 [1 per cell]
Ba2 0.045 0.000 0.463 [1 per cell]
Ba3 0.233 0.500 0.255 [1 per cell]
Ba4 0.301 0.500 0.739 [1 per cell]
Ba5 0.531 0.000 0.509 [1 per cell]
Ba6 0.738 0.500 0.187 [1 per cell]
Mg1 0.999 0.500 0.911 [1 per cell]
Sc1 0.422 0.000 0.074 [1 per cell]
Sc2 0.859 0.500 0.595 [1 per cell]
C1 0.622 0.000 0.885 [1 per cell]
C2 0.646 0.500 0.788 [1 per cell]
O1 0.479 0.000 0.836 [1 per cell]
O2 0.577 0.500 0.900 [1 per cell]
O3 0.583 0.500 0.651 [1 per cell]
O4 0.658 0.000 0.031 [1 per cell]
O5 0.720 0.000 0.798 [1 per cell]
O6 0.792 0.500 0.807 [1 per cell]
F1 0.013 0.283 0.725 [2 per cell]
F2 0.028 0.500 0.477 [1 per cell]
F3 0.251 0.000 0.216 [1 per cell]
F4 0.284 0.234 0.980 [2 per cell]
F5 0.293 0.242 0.508 [2 per cell]
F6 0.502 0.236 0.233 [2 per cell]
F7 0.772 0.256 0.469 [2 per cell]
F8 0.969 0.233 0.232 [2 per cell]

Peak list (12 most intense, 2θ = 10–80°, by angle)
h k l  Position (°2θ)  intensity
0 1 2  24.29  100
2 1 -1  25.13  20
2 0 -2  25.84  9
0 2 0  28.37  23
2 0 2  29.98  17
1 2 2  37.03  11
2 2 -2  38.75  24
4 0 -1  39.80  9
2 2 2  41.75  31
2 1 -4  44.63  10
4 1 1  45.22  12
2 3 0  47.83  16



No. 2
This entry pairs a crystal structure of SiO2 with its theoretical X-ray powder pattern. Radiation: Cu Kα, 1.54184 Å. Structure: DFT lattice parameters and positions (PBE).
Lines closer than 0.1° are merged.

Crystal structure
Unit cell a=10.105 b=12.955 c=13.102 alpha=93.70 beta=95.67 gamma=91.61
Space group P-1 (No. 2)
Symmetry-distinct sites (fractional):
Si1 0.064 0.079 0.301 [2 per cell]
Si2 0.064 0.898 0.301 [2 per cell]
Si3 0.104 0.262 0.640 [2 per cell]
Si4 0.104 0.761 0.640 [2 per cell]
Si5 0.172 0.249 0.433 [2 per cell]
Si6 0.172 0.750 0.433 [2 per cell]
Si7 0.265 0.420 0.570 [2 per cell]
Si8 0.266 0.601 0.570 [2 per cell]
O1 0.035 0.993 0.386 [2 per cell]
O2 0.036 0.307 0.391 [2 per cell]
O3 0.036 0.680 0.391 [2 per cell]
O4 0.068 0.182 0.727 [2 per cell]
O5 0.068 0.851 0.727 [2 per cell]
O6 0.092 0.983 0.214 [2 per cell]
O7 0.145 0.193 0.539 [2 per cell]
O8 0.146 0.819 0.539 [2 per cell]
O9 0.152 0.506 0.538 [2 per cell]
O10 0.192 0.158 0.343 [2 per cell]
O11 0.193 0.830 0.343 [2 per cell]
O12 0.223 0.352 0.665 [2 per cell]
O13 0.223 0.680 0.665 [2 per cell]
O14 0.288 0.339 0.470 [2 per cell]
O15 0.289 0.670 0.470 [2 per cell]
O16 0.382 0.515 0.601 [2 per cell]

Peak list (12 most intense, 2θ = 10–80°, by angle)
h k l  Position (°2θ)  intensity
1 0 -1  10.57  100
1 -1 0  10.96  36
1 1 0  11.34  48
1 0 1  11.66  43
1 -1 1  13.13  34
0 2 0  13.70  35
1 1 1  13.91  29
0 1 -2  14.85  57
0 1 2  15.69  45
1 1 -2  16.67  28
-1 1 2  17.19  42
2 0 -1  18.27  20



No. 3
This entry pairs a crystal structure of EuAl8Cu4 with its theoretical X-ray powder pattern. Radiation: Cu Kα, 1.54184 Å. Structure: DFT lattice parameters and positions (PBE).
Lines closer than 0.1° are merged.

Crystal structure
Unit cell a=8.865 b=8.865 c=5.131 alpha=90.00 beta=90.00 gamma=90.00
Space group I4/mmm (No. 139)
Symmetry-distinct sites (fractional):
Eu1 0.000 0.000 0.000 [2 per cell]
Al1 0.000 0.220 0.500 [8 per cell]
Al2 0.000 0.348 0.000 [8 per cell]
Cu1 0.250 0.250 0.250 [8 per cell]

Peak list (12 most intense, 2θ = 10–80°, by angle)
h k l  Position (°2θ)  intensity
1 1 0  14.13  15
1 0 1  20.00  19
2 2 0  28.47  43
3 1 0  31.92  9
3 0 1  35.04  17
4 0 0  40.67  100
2 2 2  45.73  15
4 2 2  58.87  19
4 4 0  58.93  8
3 2 3  66.61  6
6 2 0  66.73  9
6 0 2  74.06  16